[1]
For MgSnP, the GGA-PBE geometry in Alexandria gives the theoretical powder diffractogram in this record (Cu Kα).

Principal peaks in the range 2θ from 10° to 90°, low angle first:
23.59°, intensity 36, hkl 0 0 9
26.34°, intensity 100, hkl 1 0 1
26.74°, intensity 55, hkl 0 1 2
28.27°, intensity 65, hkl 1 0 4
37.43°, intensity 52, hkl 1 0 10
39.43°, intensity 38, hkl 0 1 11
43.71°, intensity 32, hkl 1 0 13
45.97°, intensity 31, hkl 0 1 14
46.24°, intensity 58, hkl 1 1 0
52.55°, intensity 25, hkl 1 1 9

Structure:
Cell lengths 3.9264, 3.9264, 33.9458 Å; angles 90.00, 90.00, 120.00 degrees
Space group R3m (No. 160, hexagonal axes)
One atom of each set of equivalent atoms:
Mg  0.0000  0.0000  0.0000 (multiplicity 3)
Mg  0.0000  0.0000  0.4039 (multiplicity 3)
Sn  0.0000  0.0000  0.1362 (multiplicity 3)
Sn  0.0000  0.0000  0.2210 (multiplicity 3)
P  0.0000  0.0000  0.7004 (multiplicity 3)
P  0.0000  0.0000  0.9235 (multiplicity 3)

[2]
For MgTa2P, the GGA-PBE geometry in Alexandria gives the theoretical powder diffractogram in this record (Cu Kα).

Principal peaks in the range 2θ from 10° to 90°, low angle first:
11.72°, intensity 66, hkl 0 0 1
23.56°, intensity 35, hkl 0 0 2
29.21°, intensity 83, hkl 1 0 0
35.66°, intensity 26, hkl 0 0 3
37.86°, intensity 100, hkl 1 0 2
41.78°, intensity 61, hkl 1 1 0
46.74°, intensity 52, hkl 1 0 3
56.07°, intensity 29, hkl 1 1 3
73.69°, intensity 28, hkl 2 1 2
79.83°, intensity 22, hkl 2 1 3

Structure:
Cell lengths 3.057, 3.057, 7.552 Å; angles 90.00, 90.00, 90.00 degrees
Space group P4/mmm (No. 123)
One atom of each set of equivalent atoms:
Mg  0.000  0.000  0.000 (multiplicity 1)
Ta  0.500  0.500  0.306 (multiplicity 2)
P  0.000  0.000  0.500 (multiplicity 1)

[3]
For MgTc2P, the GGA-PBE geometry in Alexandria gives the theoretical powder diffractogram in this record (Cu Kα).

Principal peaks in the range 2θ from 10° to 90°, low angle first:
24.74°, intensity 60, hkl 0 0 2
29.75°, intensity 53, hkl 1 1 0
34.49°, intensity 35, hkl 0 4 0
38.71°, intensity 100, hkl 1 3 0
39.07°, intensity 97, hkl 1 1 2
41.44°, intensity 47, hkl 0 2 3
42.91°, intensity 81, hkl 0 4 2
46.49°, intensity 65, hkl 1 3 2
48.57°, intensity 50, hkl 1 1 3
75.57°, intensity 51, hkl 2 4 2

Structure:
Cell lengths 3.136, 10.401, 7.198 Å; angles 90.00, 90.00, 90.00 degrees
Space group Cmcm (No. 63)
One atom of each set of equivalent atoms:
Mg  0.000  0.036  0.250 (multiplicity 4)
Tc  0.000  0.357  0.042 (multiplicity 8)
P  0.000  0.237  0.750 (multiplicity 4)

[4]
For MgVP2, the GGA-PBE geometry in Alexandria gives the theoretical powder diffractogram in this record (Cu Kα).

Principal peaks in the range 2θ from 10° to 90°, low angle first:
17.52°, intensity 22, hkl 1 0 1
27.47°, intensity 100, hkl 1 1 2
44.83°, intensity 21, hkl 2 2 0
46.03°, intensity 42, hkl 2 0 4
53.39°, intensity 25, hkl 3 1 2
55.46°, intensity 14, hkl 1 1 6
65.27°, intensity 6, hkl 4 0 0
73.98°, intensity 9, hkl 3 1 6
83.53°, intensity 11, hkl 4 2 4
86.09°, intensity 6, hkl 2 2 8

Structure:
Cell lengths 5.718, 5.718, 10.895 Å; angles 90.00, 90.00, 90.00 degrees
Space group I-42d (No. 122)
One atom of each set of equivalent atoms:
Mg  0.000  0.000  0.000 (multiplicity 4)
V  0.000  0.000  0.500 (multiplicity 4)
P  0.209  0.250  0.625 (multiplicity 8)

[5]
For YMg4P, the GGA-PBE geometry in Alexandria gives the theoretical powder diffractogram in this record (Cu Kα).

Principal peaks in the range 2θ from 10° to 90°, low angle first:
18.65°, intensity 26, hkl 1 1 1
21.57°, intensity 16, hkl 2 0 0
30.69°, intensity 56, hkl 2 2 0
36.16°, intensity 100, hkl 3 1 1
37.83°, intensity 20, hkl 2 2 2
54.57°, intensity 21, hkl 4 2 2
58.18°, intensity 32, hkl 5 1 1
63.92°, intensity 22, hkl 4 4 0
75.70°, intensity 11, hkl 5 3 3
88.89°, intensity 10, hkl 6 4 2

Structure:
Cell lengths 8.239, 8.239, 8.239 Å; angles 90.00, 90.00, 90.00 degrees
Space group F-43m (No. 216)
One atom of each set of equivalent atoms:
Y  0.000  0.000  0.000 (multiplicity 4)
Mg  0.125  0.125  0.625 (multiplicity 16)
P  0.250  0.250  0.250 (multiplicity 4)

[6]
For Mg4ZnP, the GGA-PBE geometry in Alexandria gives the theoretical powder diffractogram in this record (Cu Kα).

Principal peaks in the range 2θ from 10° to 90°, low angle first:
19.25°, intensity 13, hkl 1 1 1
22.27°, intensity 9, hkl 2 0 0
31.69°, intensity 51, hkl 2 2 0
37.35°, intensity 100, hkl 3 1 1
39.08°, intensity 22, hkl 2 2 2
56.45°, intensity 18, hkl 4 2 2
60.22°, intensity 31, hkl 5 1 1
66.20°, intensity 22, hkl 4 4 0
75.26°, intensity 7, hkl 6 2 0
78.55°, intensity 10, hkl 5 3 3

Structure:
Cell lengths 7.985, 7.985, 7.985 Å; angles 90.00, 90.00, 90.00 degrees
Space group F-43m (No. 216)
One atom of each set of equivalent atoms:
Mg  0.124  0.124  0.124 (multiplicity 16)
Zn  0.000  0.000  0.500 (multiplicity 4)
P  0.250  0.250  0.750 (multiplicity 4)

[7]
For MgPaPd5, the GGA-PBE geometry in Alexandria gives the theoretical powder diffractogram in this record (Cu Kα).

Principal peaks in the range 2θ from 10° to 90°, low angle first:
15.77°, intensity 91, hkl 1 1 0
19.37°, intensity 63, hkl 0 1 1
19.66°, intensity 73, hkl 0 2 0
20.79°, intensity 100, hkl 1 0 1
24.81°, intensity 59, hkl 2 0 0
37.41°, intensity 86, hkl 1 1 2
38.94°, intensity 53, hkl 3 1 0
39.94°, intensity 58, hkl 0 4 0
46.21°, intensity 48, hkl 3 2 1
47.05°, intensity 98, hkl 2 2 2

Structure:
Cell lengths 7.178, 9.029, 5.319 Å; angles 90.00, 90.00, 90.00 degrees
Space group Imm2 (No. 44)
One atom of each set of equivalent atoms:
Mg  0.000  0.000  0.000 (multiplicity 2)
Pa  0.000  0.500  0.236 (multiplicity 2)
Pd  0.000  0.252  0.449 (multiplicity 4)
Pd  0.000  0.500  0.732 (multiplicity 2)
Pd  0.186  0.000  0.506 (multiplicity 4)

[8]
For MgPa2Pt2, the GGA-PBE geometry in Alexandria gives the theoretical powder diffractogram in this record (Cu Kα).

Principal peaks in the range 2θ from 10° to 90°, low angle first:
16.13°, intensity 27, hkl 1 1 0
22.88°, intensity 14, hkl 2 0 0
35.51°, intensity 100, hkl 2 1 1
36.55°, intensity 24, hkl 3 1 0
49.49°, intensity 10, hkl 0 0 2
49.77°, intensity 12, hkl 3 3 0
54.69°, intensity 15, hkl 4 1 1
63.07°, intensity 10, hkl 3 1 2
70.00°, intensity 15, hkl 5 2 1
83.49°, intensity 10, hkl 2 1 3

Structure:
Cell lengths 7.773, 7.773, 3.684 Å; angles 90.00, 90.00, 90.00 degrees
Space group P4/mbm (No. 127)
One atom of each set of equivalent atoms:
Mg  0.000  0.000  0.000 (multiplicity 2)
Pa  0.172  0.328  0.500 (multiplicity 4)
Pt  0.134  0.634  0.000 (multiplicity 4)